Diffraction record for TlPb3Au4. The X-ray powder pattern is simulated, not measured: it uses the GGA-PBE geometry in Alexandria and a wavelength of 1.5418 Å.
Kinematic intensities with the Lorentz-polarization factor, no thermal factor.

Largest 10 diffraction maxima, low angle first, 10 to 90 degrees two-theta:
| h k l | 2θ/deg | d_spacing | intensity |
| --- | --- | --- | --- |
| 2 2 1 | 29.40 | 3.038 | 100 |
| 0 2 2 | 30.85 | 2.899 | 43 |
| 4 0 1 | 31.05 | 2.880 | 43 |
| 2 0 3 | 33.47 | 2.677 | 74 |
| 3 2 1 | 33.79 | 2.653 | 38 |
| 4 2 0 | 37.84 | 2.378 | 36 |
| 3 2 2 | 38.14 | 2.360 | 59 |
| 5 0 1 | 38.35 | 2.347 | 53 |
| 1 2 3 | 39.07 | 2.306 | 52 |
| 2 0 4 | 43.10 | 2.099 | 34 |

Cell and atoms:
Cell: 12.168 7.624 8.943 Å, 90.00 90.00 90.00°
Space group Pnma (No. 62)
One atom of each set of equivalent atoms:
Tl 0.058 0.250 0.209
Pb 0.087 0.750 0.176
Pb 0.170 0.503 0.601
Au 0.008 0.750 0.479
Au 0.111 0.060 0.927
Au 0.225 0.750 0.858

***

Diffraction record for TlPb5Au2. The X-ray powder pattern is simulated, not measured: it uses the GGA-PBE geometry in Alexandria and a wavelength of 1.5418 Å.
Kinematic intensities with the Lorentz-polarization factor, no thermal factor.

Largest 10 diffraction maxima, low angle first, 10 to 90 degrees two-theta:
| h k l | 2θ/deg | d_spacing | intensity |
| --- | --- | --- | --- |
| 1 0 3 | 29.27 | 3.052 | 53 |
| 0 2 4 | 32.08 | 2.790 | 89 |
| 1 2 1 | 33.48 | 2.676 | 100 |
| 0 0 6 | 34.07 | 2.632 | 26 |
| 1 0 5 | 37.25 | 2.414 | 60 |
| 0 4 0 | 46.03 | 1.972 | 28 |
| 2 2 4 | 59.45 | 1.555 | 32 |
| 2 0 6 | 60.66 | 1.527 | 25 |
| 0 2 10 | 63.47 | 1.466 | 25 |
| 2 2 10 | 83.80 | 1.154 | 24 |

Cell and atoms:
Cell: 3.745 7.886 15.790 Å, 90.00 90.00 90.00°
Space group Immm (No. 71)
One atom of each set of equivalent atoms:
Tl 0.000 0.000 0.000
Pb 0.000 0.269 0.354
Pb 0.000 0.500 0.000
Au 0.000 0.500 0.205

***

Diffraction record for TlPb4Au4. The X-ray powder pattern is simulated, not measured: it uses the GGA-PBE geometry in Alexandria and a wavelength of 1.5418 Å.
Kinematic intensities with the Lorentz-polarization factor, no thermal factor.

Largest 10 diffraction maxima, low angle first, 10 to 90 degrees two-theta:
| h k l | 2θ/deg | d_spacing | intensity |
| --- | --- | --- | --- |
| 2 1 1 | 28.55 | 3.127 | 100 |
| 1 0 3 | 30.77 | 2.906 | 62 |
| 2 2 0 | 34.24 | 2.619 | 48 |
| 2 2 2 | 39.31 | 2.292 | 18 |
| 2 1 3 | 39.41 | 2.286 | 32 |
| 3 1 1 | 39.64 | 2.274 | 19 |
| 3 0 3 | 46.69 | 1.945 | 47 |
| 4 0 0 | 49.21 | 1.852 | 25 |
| 2 2 4 | 52.05 | 1.757 | 37 |
| 4 3 3 | 70.17 | 1.341 | 18 |

Cell and atoms:
Cell: 7.406 7.406 9.479 Å, 90.00 90.00 90.00°
Space group P4_2/nmc (No. 137, origin choice 2)
One atom of each set of equivalent atoms:
Tl 0.250 0.750 0.250
Pb 0.005 0.750 0.604
Au 0.060 0.250 0.095

***

Diffraction record for Tl3Pb7Au4. The X-ray powder pattern is simulated, not measured: it uses the GGA-PBE geometry in Alexandria and a wavelength of 1.5418 Å.
Kinematic intensities with the Lorentz-polarization factor, no thermal factor.

Largest 10 diffraction maxima, low angle first, 10 to 90 degrees two-theta:
| h k l | 2θ/deg | d_spacing | intensity |
| --- | --- | --- | --- |
| 1 1 2 | 29.86 | 2.992 | 100 |
| 5 1 -2 | 30.74 | 2.909 | 97 |
| 6 0 -3 | 31.06 | 2.879 | 23 |
| 5 1 -3 | 33.37 | 2.685 | 22 |
| 5 1 0 | 34.90 | 2.571 | 18 |
| 6 0 0 | 35.66 | 2.518 | 43 |
| 0 2 0 | 36.69 | 2.449 | 60 |
| 6 2 0 | 52.11 | 1.755 | 24 |
| 9 1 -6 | 58.03 | 1.589 | 17 |
| 1 3 2 | 61.93 | 1.498 | 19 |

Cell and atoms:
Cell: 18.222 4.898 10.879 Å, 90.00 124.03 90.00°
Space group C2/m (No. 12)
One atom of each set of equivalent atoms:
Tl 0.000 0.000 0.000
Tl 0.182 0.500 0.685
Pb 0.000 0.000 0.500
Pb 0.001 0.500 0.280
Pb 0.164 0.000 0.430
Pb 0.193 0.500 0.046
Au 0.118 0.000 0.856
Au 0.159 0.500 0.271

***

Diffraction record for Tl6Pb2Au. The X-ray powder pattern is simulated, not measured: it uses the GGA-PBE geometry in Alexandria and a wavelength of 1.5418 Å.
Kinematic intensities with the Lorentz-polarization factor, no thermal factor.

Largest 10 diffraction maxima, low angle first, 10 to 90 degrees two-theta:
| h k l | 2θ/deg | d_spacing | intensity |
| --- | --- | --- | --- |
| 0 5 1 | 30.01 | 2.978 | 41 |
| 1 0 2 | 30.94 | 2.890 | 100 |
| 1 2 2 | 33.01 | 2.713 | 58 |
| 0 3 3 | 34.14 | 2.626 | 82 |
| 1 5 1 | 38.64 | 2.330 | 45 |
| 2 0 0 | 48.65 | 1.872 | 18 |
| 1 8 2 | 56.51 | 1.629 | 25 |
| 1 1 5 | 56.62 | 1.626 | 13 |
| 2 5 1 | 58.22 | 1.585 | 13 |
| 2 3 3 | 60.77 | 1.524 | 32 |

Cell and atoms:
Cell: 3.743 15.781 9.082 Å, 90.00 90.00 90.00°
Space group Amm2 (No. 38)
One atom of each set of equivalent atoms:
Tl 0.000 0.000 0.000
Tl 0.000 0.129 0.607
Tl 0.500 0.000 0.363
Tl 0.500 0.185 0.923
Pb 0.000 0.168 0.238
Au 0.500 0.000 0.739

***

Diffraction record for TlPb2Au2. The X-ray powder pattern is simulated, not measured: it uses the GGA-PBE geometry in Alexandria and a wavelength of 1.5418 Å.
Kinematic intensities with the Lorentz-polarization factor, no thermal factor.

Largest 10 diffraction maxima, low angle first, 10 to 90 degrees two-theta:
| h k l | 2θ/deg | d_spacing | intensity |
| --- | --- | --- | --- |
| 3 1 0 | 32.55 | 2.751 | 64 |
| 2 0 1 | 32.83 | 2.728 | 11 |
| 2 1 1 | 34.45 | 2.603 | 100 |
| 4 0 0 | 41.52 | 2.175 | 9 |
| 3 3 0 | 44.17 | 2.050 | 8 |
| 4 1 1 | 50.50 | 1.807 | 11 |
| 0 0 2 | 52.22 | 1.752 | 10 |
| 3 1 2 | 62.90 | 1.478 | 20 |
| 5 2 1 | 63.41 | 1.467 | 26 |
| 7 3 0 | 84.90 | 1.142 | 9 |

Cell and atoms:
Cell: 8.699 8.699 3.503 Å, 90.00 90.00 90.00°
Space group P4/mbm (No. 127)
One atom of each set of equivalent atoms:
Tl 0.000 0.000 0.000
Pb 0.141 0.359 0.000
Au 0.156 0.656 0.500

***

Diffraction record for Tl4PbAu2. The X-ray powder pattern is simulated, not measured: it uses the GGA-PBE geometry in Alexandria and a wavelength of 1.5418 Å.
Kinematic intensities with the Lorentz-polarization factor, no thermal factor.

Largest 10 diffraction maxima, low angle first, 10 to 90 degrees two-theta:
| h k l | 2θ/deg | d_spacing | intensity |
| --- | --- | --- | --- |
| 1 1 1 | 29.20 | 3.058 | 36 |
| 0 0 3 | 30.02 | 2.976 | 20 |
| 1 1 -2 | 32.38 | 2.765 | 100 |
| 1 1 2 | 34.64 | 2.589 | 36 |
| 0 2 0 | 35.80 | 2.508 | 42 |
| 2 0 0 | 40.38 | 2.234 | 21 |
| 2 1 0 | 44.40 | 2.041 | 14 |
| 0 2 3 | 47.40 | 1.918 | 14 |
| 2 2 0 | 55.05 | 1.668 | 17 |
| 1 3 -2 | 62.18 | 1.493 | 17 |

Cell and atoms:
Cell: 4.488 5.017 8.966 Å, 90.00 95.26 90.00°
Space group P2/m (No. 10)
One atom of each set of equivalent atoms:
Tl 0.228 0.000 0.345
Tl 0.250 0.500 0.667
Pb 0.500 0.000 0.000
Au 0.223 0.500 0.116

***

Diffraction record for Tl2Pb5Au2. The X-ray powder pattern is simulated, not measured: it uses the GGA-PBE geometry in Alexandria and a wavelength of 1.5418 Å.
Kinematic intensities with the Lorentz-polarization factor, no thermal factor.

Largest 10 diffraction maxima, low angle first, 10 to 90 degrees two-theta:
| h k l | 2θ/deg | d_spacing | intensity |
| --- | --- | --- | --- |
| 1 1 0 | 27.29 | 3.268 | 62 |
| 0 0 3 | 29.59 | 3.019 | 57 |
| 1 1 1 | 30.60 | 2.921 | 50 |
| 6 0 -3 | 30.92 | 2.892 | 57 |
| 6 0 -2 | 31.86 | 2.808 | 51 |
| 2 0 -4 | 32.03 | 2.794 | 48 |
| 3 1 0 | 33.68 | 2.661 | 77 |
| 4 0 1 | 35.08 | 2.558 | 45 |
| 1 1 2 | 36.51 | 2.461 | 55 |
| 5 1 -4 | 40.81 | 2.211 | 100 |

Cell and atoms:
Cell: 17.385 3.377 12.145 Å, 90.00 131.79 90.00°
Space group C2/m (No. 12)
One atom of each set of equivalent atoms:
Tl 0.211 0.000 0.088
Pb 0.000 0.500 0.000
Pb 0.050 0.000 0.682
Pb 0.153 0.000 0.327
Au 0.171 0.000 0.595